Entry 1:
DyCo3P2: computed X-ray powder pattern (λ = 1.5418 Å (Cu Kα)), based on DFT lattice parameters and positions (PBE).

Crystal structure
```
data_DyCo3P2
_chemical_formula_sum 'Dy6 Co18 P12'
_cell_length_a 3.684
_cell_length_b 10.486
_cell_length_c 12.142
_cell_angle_alpha 90.00
_cell_angle_beta 90.00
_cell_angle_gamma 90.00
_space_group_name_H-M_alt 'P 1'
_space_group_IT_number 1
loop_
_space_group_symop_operation_xyz
'x,y,z'
loop_
_atom_site_label
_atom_site_type_symbol
_atom_site_fract_x
_atom_site_fract_y
_atom_site_fract_z
_atom_site_occupancy
Dy1 Dy 0.250 0.067 0.206 1
Dy2 Dy 0.250 0.250 0.478 1
Dy3 Dy 0.250 0.433 0.206 1
Dy4 Dy 0.750 0.567 0.794 1
Dy5 Dy 0.750 0.750 0.522 1
Dy6 Dy 0.750 0.933 0.794 1
Co1 Co 0.250 0.129 0.710 1
Co2 Co 0.250 0.250 0.014 1
Co3 Co 0.250 0.371 0.710 1
Co4 Co 0.250 0.547 0.431 1
Co5 Co 0.250 0.583 0.995 1
Co6 Co 0.250 0.750 0.159 1
Co7 Co 0.250 0.750 0.703 1
Co8 Co 0.250 0.917 0.995 1
Co9 Co 0.250 0.953 0.431 1
Co10 Co 0.750 0.047 0.569 1
Co11 Co 0.750 0.083 0.005 1
Co12 Co 0.750 0.250 0.297 1
Co13 Co 0.750 0.250 0.841 1
Co14 Co 0.750 0.417 0.005 1
Co15 Co 0.750 0.453 0.569 1
Co16 Co 0.750 0.629 0.290 1
Co17 Co 0.750 0.750 0.986 1
Co18 Co 0.750 0.871 0.290 1
P1 P 0.250 0.098 0.893 1
P2 P 0.250 0.402 0.893 1
P3 P 0.250 0.561 0.616 1
P4 P 0.250 0.750 0.344 1
P5 P 0.250 0.750 0.883 1
P6 P 0.250 0.939 0.616 1
P7 P 0.750 0.061 0.384 1
P8 P 0.750 0.250 0.117 1
P9 P 0.750 0.250 0.656 1
P10 P 0.750 0.439 0.384 1
P11 P 0.750 0.598 0.107 1
P12 P 0.750 0.902 0.107 1
```

Most intense lines, 10 to 80 degrees two-theta, sorted by position:
| d (Å) | two_theta | I_rel | (hkl) |
| --- | --- | --- | --- |
| 3.032 | 29.46 | 12 | 0 0 4 |
| 2.341 | 38.46 | 100 | 1 3 2 |
| 2.203 | 40.97 | 13 | 0 2 5 |
| 1.842 | 49.49 | 20 | 2 0 0 |
| 1.751 | 52.23 | 12 | 0 3 6 |
| 1.269 | 74.85 | 14 | 2 6 0 |

***

Entry 2:
Dy2CoSi4Pt: computed X-ray powder pattern (λ = 1.5418 Å (Cu Kα)), based on DFT lattice parameters and positions (PBE).

Crystal structure
```
data_Dy2CoSi4Pt
_chemical_formula_sum 'Dy4 Co2 Si8 Pt2'
_cell_length_a 4.095
_cell_length_b 4.046
_cell_length_c 16.562
_cell_angle_alpha 90.00
_cell_angle_beta 90.00
_cell_angle_gamma 90.00
_space_group_name_H-M_alt 'P 1'
_space_group_IT_number 1
loop_
_space_group_symop_operation_xyz
'x,y,z'
loop_
_atom_site_label
_atom_site_type_symbol
_atom_site_fract_x
_atom_site_fract_y
_atom_site_fract_z
_atom_site_occupancy
Dy1 Dy 0.000 0.000 0.000 1
Dy2 Dy 0.000 0.500 0.500 1
Dy3 Dy 0.500 0.000 0.208 1
Dy4 Dy 0.500 0.500 0.708 1
Co1 Co 0.500 0.000 0.427 1
Co2 Co 0.500 0.500 0.927 1
Si1 Si 0.000 0.000 0.365 1
Si2 Si 0.000 0.000 0.638 1
Si3 Si 0.000 0.500 0.138 1
Si4 Si 0.000 0.500 0.865 1
Si5 Si 0.500 0.000 0.562 1
Si6 Si 0.500 0.000 0.863 1
Si7 Si 0.500 0.500 0.062 1
Si8 Si 0.500 0.500 0.363 1
Pt1 Pt 0.000 0.000 0.781 1
Pt2 Pt 0.000 0.500 0.281 1
```

Most intense lines, 10 to 80 degrees two-theta, sorted by position:
| d (Å) | two_theta | I_rel | (hkl) |
| --- | --- | --- | --- |
| 4.140 | 21.46 | 33 | 0 0 4 |
| 2.912 | 30.71 | 47 | 1 0 4 |
| 2.836 | 31.55 | 100 | 1 1 1 |
| 2.563 | 35.01 | 75 | 0 1 5 |
| 2.552 | 35.16 | 69 | 1 1 3 |
| 1.600 | 57.62 | 36 | 2 1 5 |

***

Entry 3:
SrDyCo2Si2: computed X-ray powder pattern (λ = 1.5418 Å (Cu Kα)), based on DFT lattice parameters and positions (PBE).

Crystal structure
```
data_SrDyCo2Si2
_chemical_formula_sum 'Sr1 Dy1 Co2 Si2'
_cell_length_a 3.948
_cell_length_b 3.948
_cell_length_c 7.274
_cell_angle_alpha 90.00
_cell_angle_beta 90.00
_cell_angle_gamma 90.00
_space_group_name_H-M_alt 'P 1'
_space_group_IT_number 1
loop_
_space_group_symop_operation_xyz
'x,y,z'
loop_
_atom_site_label
_atom_site_type_symbol
_atom_site_fract_x
_atom_site_fract_y
_atom_site_fract_z
_atom_site_occupancy
Sr1 Sr 0.000 0.000 0.000 1
Dy1 Dy 0.500 0.500 0.634 1
Co1 Co 0.000 0.500 0.348 1
Co2 Co 0.500 0.000 0.348 1
Si1 Si 0.000 0.000 0.512 1
Si2 Si 0.500 0.500 0.181 1
```

Most intense lines, 10 to 80 degrees two-theta, sorted by position:
| d (Å) | two_theta | I_rel | (hkl) |
| --- | --- | --- | --- |
| 7.274 | 12.17 | 54 | 0 0 1 |
| 3.470 | 25.67 | 100 | 1 0 1 |
| 2.675 | 33.50 | 88 | 1 0 2 |
| 2.607 | 34.41 | 60 | 1 1 1 |
| 2.215 | 40.74 | 99 | 1 1 2 |
| 1.974 | 45.97 | 60 | 2 0 0 |